(1)
# MgTi2NiH
Calculated X-ray powder pattern, Cu Ka. Input: DFT lattice parameters and positions (PBE).

Main lines, by angle (2θ from 10° to 90°):
| 2θ (°) | intensity | hkl |
| --- | --- | --- |
| 21.56 | 119 | 1 0 0 |
| 32.07 | 74 | 1 0 1 |
| 38.97 | 1000 | 1 1 1 |
| 43.93 | 357 | 2 0 0 |
| 47.99 | 135 | 0 0 2 |
| 63.87 | 106 | 2 2 0 |
| 67.08 | 180 | 2 0 2 |
| 77.42 | 227 | 3 1 1 |
| 83.33 | 92 | 1 1 3 |
| 83.70 | 92 | 2 2 2 |

```
5
Lattice="4.1222 0.0000 0.0000 0.0000 4.1222 0.0000 0.0000 0.0000 3.7919" Properties=species:S:1:pos:R:3 pbc="T T T"
Mg 0.0000 0.0000 0.0000
Ti 0.0000 2.0611 1.8959
Ti 2.0611 0.0000 1.8959
Ni 2.0611 2.0611 0.0000
H 2.0611 2.0611 1.8959
```


(2)
# LiHfTc
Calculated X-ray powder pattern, Cu Ka. Input: DFT lattice parameters and positions (PBE).

Main lines, by angle (2θ from 10° to 90°):
| 2θ (°) | intensity | hkl |
| --- | --- | --- |
| 11.71 | 1000 | 0 2 0 |
| 23.54 | 165 | 0 4 0 |
| 35.37 | 263 | 1 1 1 |
| 35.64 | 283 | 0 6 0 |
| 39.31 | 900 | 1 3 1 |
| 42.19 | 187 | 0 0 2 |
| 46.33 | 143 | 1 5 1 |
| 56.38 | 151 | 0 6 2 |
| 66.47 | 171 | 1 9 1 |
| 75.19 | 134 | 1 3 3 |

```
12
Lattice="3.2201 0.0000 0.0000 0.0000 15.1157 0.0000 0.0000 0.0000 4.2839" Properties=species:S:1:pos:R:3 pbc="T T T"
Li 0.0000 0.0000 0.0000
Li 0.0000 7.5578 2.1420
Li 1.6101 0.0000 2.1420
Li 1.6101 7.5578 0.0000
Hf 0.0000 2.4714 2.1420
Hf 0.0000 12.6442 2.1420
Hf 1.6101 5.0864 2.1420
Hf 1.6101 10.0293 2.1420
Tc 0.0000 4.8952 0.0000
Tc 0.0000 10.2204 0.0000
Tc 1.6101 2.6626 0.0000
Tc 1.6101 12.4531 0.0000
```


(3)
# Sr2Ga12Pt7
Calculated X-ray powder pattern, Cu Ka. Input: DFT lattice parameters and positions (PBE).

Main lines, by angle (2θ from 10° to 90°):
| 2θ (°) | intensity | hkl |
| --- | --- | --- |
| 26.62 | 675 | 2 1 0 |
| 27.56 | 375 | 1 1 1 |
| 29.38 | 437 | 2 0 1 |
| 34.32 | 995 | 2 1 1 |
| 41.39 | 585 | 2 2 1 |
| 42.69 | 1000 | 1 3 1 |
| 43.29 | 581 | 0 0 2 |
| 47.01 | 304 | 1 4 0 |
| 49.90 | 399 | 3 2 1 |
| 51.56 | 314 | 2 1 2 |

```
21
Lattice="10.2284 0.0000 0.0000 -5.1142 8.8581 0.0000 0.0000 0.0000 4.1801" Properties=species:S:1:pos:R:3 pbc="T T T"
Sr 0.0000 0.0000 0.0000
Sr 0.0000 5.9054 2.0901
Ga -1.2038 2.4675 2.0901
Ga -2.3627 6.6027 0.0000
Ga 0.5775 3.5106 0.0000
Ga -2.3754 8.6669 2.0901
Ga 2.8167 1.7361 0.0000
Ga 3.3845 3.6937 2.0901
Ga 5.3374 1.0842 2.0901
Ga 1.7852 7.6029 0.0000
Ga 3.5792 6.5818 2.0901
Ga 7.3166 1.5713 0.0000
Ga 5.2094 5.5507 0.0000
Ga 6.6208 4.0802 2.0901
Pt -2.0031 3.9809 0.0000
Pt 1.3298 2.1247 2.0901
Pt -0.6651 8.6024 0.0000
Pt 2.6682 5.1329 0.0000
Pt 5.1142 2.9527 0.0000
Pt 7.7235 0.0893 2.0901
Pt 6.2894 6.6441 2.0901
```


- Which formula does entry 1 have?
  MgTi2NiH